For BaPrTcN3, a GGA-PBE-relaxed structure gives the simulated powder XRD pattern in this record (a wavelength of 1.5418 Å).
Kinematic intensities with the Lorentz-polarization factor, no thermal factor.

Structural model:
Cell: 6.2947 6.2947 7.0545 Å, 90.00 90.00 120.00°
Space group P6_3/mmc (No. 194)
Inequivalent atoms, fractional coordinates:
Ba  0.3333  0.6667  0.2500 [2 per cell]
Pr  0.0000  0.0000  0.0000 [2 per cell]
Tc  0.3333  0.6667  0.7500 [2 per cell]
N  0.1647  0.3294  0.7500 [6 per cell]

Most intense lines, 10 to 80 degrees two-theta, most intense first:
index	two_theta	I (rel.)
1 1 0	28.4	1000
1 0 2	30.2	822
2 0 2	41.9	411
2 1 2	51.4	386
1 1 4	60.1	240
3 0 0	50.2	206

=====

For Sr3H9Rh2, a GGA-PBE-relaxed structure gives the simulated powder XRD pattern in this record (a wavelength of 1.5418 Å).
Kinematic intensities with the Lorentz-polarization factor, no thermal factor.

Structural model:
Cell: 8.9906 8.9906 14.7653 Å, 90.00 90.00 120.00°
Space group R-3c (No. 167, hexagonal axes)
Inequivalent atoms, fractional coordinates:
Sr  0.0000  0.3360  0.2500 [18 per cell]
H  0.0000  0.1377  0.7500 [18 per cell]
H  0.0009  0.1631  0.4066 [36 per cell]
Rh  0.0000  0.0000  0.1573 [12 per cell]

Most intense lines, 10 to 80 degrees two-theta, most intense first:
index	two_theta	I (rel.)
3 0 0	34.6	1000
1 1 3	26.9	886
1 1 6	41.8	562
4 1 6	66.9	278
2 2 6	55.4	253
2 2 3	44.3	250

=====

For LaSn3Ir, a GGA-PBE-relaxed structure gives the simulated powder XRD pattern in this record (a wavelength of 1.5418 Å).
Kinematic intensities with the Lorentz-polarization factor, no thermal factor.

Structural model:
Cell: 6.7805 6.0986 6.2885 Å, 90.00 90.00 90.00°
Space group Pmn2_1 (No. 31)
Inequivalent atoms, fractional coordinates:
La  0.0000  0.1370  0.0000 [2 per cell]
Sn  0.0000  0.8952  0.5411 [2 per cell]
Sn  0.2411  0.3338  0.4358 [4 per cell]
Ir  0.0000  0.6078  0.2371 [2 per cell]

Most intense lines, 10 to 80 degrees two-theta, most intense first:
index	two_theta	I (rel.)
2 1 1	33.4	1000
0 2 1	32.6	751
2 1 2	41.9	557
1 1 1	24.2	424
1 0 1	19.3	325
0 4 0	60.7	302